No. 1
GaNi2Mo: calculated powder XRD pattern (λ = 1.5418 Å (Cu Kα)), based on the GGA-PBE geometry in Alexandria.
No peak broadening, texture or thermal motion is included.

Peak list (12 most intense, 10° ≤ 2θ ≤ 80°, by intensity)
| d/Å | Rel. int. | index |
| --- | --- | --- |
| 2.149 | 100 | 1 1 1 |
| 2.088 | 78 | 1 0 4 |
| 2.032 | 45 | 2 0 0 |
| 2.040 | 38 | 0 1 3 |
| 1.823 | 25 | 1 1 3 |
| 1.439 | 23 | 2 1 3 |
| 2.433 | 15 | 0 0 4 |
| 1.563 | 11 | 0 1 5 |
| 1.311 | 10 | 0 2 0 |
| 1.239 | 10 | 2 1 5 |
| 1.229 | 9 | 0 1 7 |
| 3.119 | 8 | 1 0 2 |

Structure:
```
data_GaNi2Mo
_cell_length_a 4.063
_cell_length_b 2.622
_cell_length_c 9.734
_cell_angle_alpha 90.00
_cell_angle_beta 90.00
_cell_angle_gamma 90.00
_symmetry_space_group_name_H-M 'P 1'
_symmetry_Int_Tables_number 1
_symmetry_space_group_name_Hall 'P 1'
loop_
_atom_site_label
_atom_site_fract_x
_atom_site_fract_y
_atom_site_fract_z
Ga1 0.000 0.000 0.000
Ga2 0.000 0.500 0.500
Ni1 0.000 0.000 0.266
Ni2 0.000 0.500 0.766
Ni3 0.500 0.000 0.414
Ni4 0.500 0.500 0.914
Mo1 0.500 0.000 0.671
Mo2 0.500 0.500 0.171
```

***

No. 2
Sm2SiTeO4: calculated powder XRD pattern (λ = 1.5418 Å (Cu Kα)), based on the GGA-PBE geometry in Alexandria.
No peak broadening, texture or thermal motion is included.

Peak list (12 most intense, 10° ≤ 2θ ≤ 80°, by intensity)
| d/Å | Rel. int. | index |
| --- | --- | --- |
| 3.418 | 100 | 2 0 -2 |
| 3.108 | 68 | 2 0 2 |
| 2.795 | 66 | 2 1 2 |
| 3.197 | 64 | 0 2 0 |
| 2.999 | 62 | 0 2 1 |
| 2.524 | 45 | 2 2 1 |
| 2.462 | 41 | 4 0 0 |
| 2.920 | 39 | 3 1 0 |
| 2.051 | 36 | 0 1 4 |
| 2.335 | 34 | 2 2 -2 |
| 3.460 | 34 | 2 1 1 |
| 4.332 | 33 | 0 0 2 |

Structure:
```
data_Sm2SiTeO4
_cell_length_a 9.892
_cell_length_b 6.394
_cell_length_c 8.703
_cell_angle_alpha 90.00
_cell_angle_beta 95.49
_cell_angle_gamma 90.00
_symmetry_space_group_name_H-M 'P 1'
_symmetry_Int_Tables_number 1
_symmetry_space_group_name_Hall 'P 1'
loop_
_atom_site_label
_atom_site_fract_x
_atom_site_fract_y
_atom_site_fract_z
Sm1 0.108 0.154 0.195
Sm2 0.108 0.346 0.695
Sm3 0.345 0.696 0.336
Sm4 0.345 0.804 0.836
Sm5 0.655 0.196 0.164
Sm6 0.655 0.304 0.664
Sm7 0.892 0.654 0.305
Sm8 0.892 0.846 0.805
Si1 0.125 0.691 0.056
Si2 0.125 0.809 0.556
Si3 0.875 0.191 0.444
Si4 0.875 0.309 0.944
Te1 0.411 0.214 0.380
Te2 0.411 0.286 0.880
Te3 0.589 0.714 0.120
Te4 0.589 0.786 0.620
O1 0.022 0.196 0.923
O2 0.022 0.304 0.423
O3 0.125 0.634 0.873
O4 0.125 0.866 0.373
O5 0.160 0.507 0.183
O6 0.160 0.993 0.683
O7 0.247 0.634 0.591
O8 0.247 0.866 0.091
O9 0.753 0.134 0.909
O10 0.753 0.366 0.409
O11 0.840 0.007 0.317
O12 0.840 0.493 0.817
O13 0.875 0.134 0.627
O14 0.875 0.366 0.127
O15 0.978 0.696 0.577
O16 0.978 0.804 0.077
```

***

No. 3
Sm3BS3O3: calculated powder XRD pattern (λ = 1.5418 Å (Cu Kα)), based on the GGA-PBE geometry in Alexandria.
No peak broadening, texture or thermal motion is included.

Peak list (12 most intense, 10° ≤ 2θ ≤ 80°, by intensity)
| d/Å | Rel. int. | index |
| --- | --- | --- |
| 3.774 | 100 | 0 0 3 |
| 3.152 | 45 | 0 2 2 |
| 3.673 | 38 | 0 2 -1 |
| 2.777 | 31 | 1 2 0 |
| 2.023 | 28 | 2 0 0 |
| 2.723 | 25 | 1 -2 1 |
| 2.804 | 24 | 1 -2 0 |
| 3.837 | 23 | 1 0 -1 |
| 2.305 | 22 | 0 2 -4 |
| 2.270 | 19 | 1 2 -3 |
| 2.252 | 19 | 1 -2 3 |
| 3.326 | 17 | 1 0 -2 |

Structure:
```
data_Sm3BS3O3
_cell_length_a 4.047
_cell_length_b 7.709
_cell_length_c 11.317
_cell_angle_alpha 91.28
_cell_angle_beta 91.26
_cell_angle_gamma 90.54
_symmetry_space_group_name_H-M 'P 1'
_symmetry_Int_Tables_number 1
_symmetry_space_group_name_Hall 'P 1'
loop_
_atom_site_label
_atom_site_fract_x
_atom_site_fract_y
_atom_site_fract_z
Sm1 0.227 0.238 0.005
Sm2 0.229 0.630 0.676
Sm3 0.264 0.139 0.647
Sm4 0.736 0.861 0.353
Sm5 0.771 0.370 0.324
Sm6 0.773 0.762 0.995
B1 0.391 0.560 0.149
B2 0.609 0.440 0.851
S1 0.236 0.627 0.419
S2 0.251 0.940 0.860
S3 0.254 0.116 0.395
S4 0.746 0.884 0.605
S5 0.749 0.060 0.140
S6 0.764 0.373 0.581
O1 0.265 0.630 0.046
O2 0.280 0.402 0.189
O3 0.325 0.363 0.801
O4 0.675 0.637 0.199
O5 0.720 0.598 0.811
O6 0.735 0.370 0.954
```